Diffraction record for TmAg2. The X-ray powder pattern is calculated, not measured: it uses DFT lattice parameters and positions (PBE) and Cu Ka.

a b c (Å): 3.712 3.712 9.177
angles (deg): 90.00 90.00 90.00
Space group I4/mmm (No. 139)
Inequivalent atoms, fractional coordinates:
Tm 0.000 0.000 0.000 [2 per cell]
Ag 0.000 0.000 0.332 [4 per cell]

Peak list (10 most intense, 2θ = 10–90°, most intense first)
| two_theta | I_rel | (hkl) |
| --- | --- | --- |
| 38.1 | 100 | 1 0 3 |
| 34.2 | 68 | 1 1 0 |
| 63.8 | 42 | 2 1 3 |
| 49.1 | 24 | 2 0 0 |
| 71.4 | 15 | 1 1 6 |
| 81.6 | 11 | 2 0 6 |
| 82.1 | 10 | 3 1 0 |
| 84.5 | 10 | 3 0 3 |
| 71.9 | 7 | 2 2 0 |
| 60.5 | 6 | 0 0 6 |